Entry 1:
Diffraction record for NdCoAs2Ru. The PXRD pattern is computed, not measured: it uses a PBE-relaxed structure and copper Kα.

Most intense lines, 5 to 70 degrees two-theta, most intense first:
2theta, d [Å], intensity
32.70, 2.738, 100.0
35.54, 2.526, 93.8
45.41, 1.997, 73.7
57.07, 1.614, 40.4
59.01, 1.565, 30.4
46.21, 1.965, 26.7

Cell and atoms:
```
NdCoAs2Ru
1.0
-1.9978 1.9978 5.6407
1.9978 -1.9978 5.6407
1.9978 1.9978 -5.6407
Nd Co As Ru
1 1 2 1
direct
0.0000 0.0000 0.0000
0.7500 0.2500 0.5000
0.3672 0.3672 0.0000
0.6328 0.6328 0.0000
0.2500 0.7500 0.5000
```

---

Entry 2:
Diffraction record for CoNi4As. The PXRD pattern is computed, not measured: it uses a PBE-relaxed structure and copper Kα.

Most intense lines, 5 to 70 degrees two-theta, most intense first:
2theta, d [Å], intensity
45.34, 2.000, 100.0
47.47, 1.915, 37.4
38.38, 2.346, 30.3
69.40, 1.354, 9.8
23.22, 3.830, 4.3
55.39, 1.659, 3.6

Cell and atoms:
```
CoNi4As
1.0
0.0000 3.3172 3.3172
3.3172 0.0000 3.3172
3.3172 3.3172 0.0000
Co Ni As
1 4 1
direct
0.0000 0.0000 0.0000
0.3744 0.3744 0.3744
0.3744 0.3744 0.8767
0.3744 0.8767 0.3744
0.8767 0.3744 0.3744
0.7500 0.7500 0.7500
```

---

Entry 3:
Diffraction record for NpCoNiAs2. The PXRD pattern is computed, not measured: it uses a PBE-relaxed structure and copper Kα.

Most intense lines, 5 to 70 degrees two-theta, most intense first:
2theta, d [Å], intensity
34.19, 2.622, 100.0
36.71, 2.448, 88.4
46.57, 1.950, 46.8
59.03, 1.565, 42.4
48.80, 1.866, 35.3
32.46, 2.758, 32.2

Cell and atoms:
```
NpCoNiAs2
1.0
-1.9503 1.9503 5.3132
1.9503 -1.9503 5.3132
1.9503 1.9503 -5.3132
Np Co Ni As
1 1 1 2
direct
0.0000 0.0000 0.0000
0.7500 0.2500 0.5000
0.2500 0.7500 0.5000
0.3734 0.3734 0.0000
0.6266 0.6266 0.0000
```

---

Entry 4:
Diffraction record for CoNiAs2S2. The PXRD pattern is computed, not measured: it uses a PBE-relaxed structure and copper Kα.

Most intense lines, 5 to 70 degrees two-theta, most intense first:
2theta, d [Å], intensity
35.55, 2.525, 100.0
53.83, 1.703, 65.4
31.71, 2.822, 56.5
39.06, 2.306, 48.6
53.96, 1.699, 32.6
39.16, 2.300, 28.7

Cell and atoms:
```
CoNiAs2S2
1.0
5.6409 0.0000 0.0000
0.0000 5.6474 0.0000
-0.0260 0.0000 5.6436
Co Ni As S
2 2 4 4
direct
0.0063 0.0000 0.2578
0.9937 0.5000 0.7422
0.4915 0.0149 0.7574
0.5085 0.5149 0.2426
0.1164 0.3832 0.1265
0.3749 0.6262 0.6312
0.6251 0.1262 0.3688
0.8836 0.8832 0.8735
0.1120 0.1277 0.6296
0.3765 0.8919 0.1350
0.6235 0.3919 0.8650
0.8880 0.6277 0.3704
```

---

Entry 5:
Diffraction record for CoNi7Sn2As2. The PXRD pattern is computed, not measured: it uses a PBE-relaxed structure and copper Kα.

Most intense lines, 5 to 70 degrees two-theta, most intense first:
2theta, d [Å], intensity
47.74, 1.905, 100.0
51.30, 1.781, 64.3
36.20, 2.482, 53.0
29.39, 3.039, 41.3
35.65, 2.518, 34.7
12.15, 7.282, 33.6

Cell and atoms:
```
CoNi7Sn2As2
1.0
-1.7808 1.7808 14.5638
1.7808 -1.7808 14.5638
1.7808 1.7808 -14.5638
Co Ni Sn As
1 7 2 2
direct
0.0000 0.0000 0.0000
0.0603 0.5603 0.5000
0.3085 0.3085 0.0000
0.4397 0.9397 0.5000
0.5000 0.5000 0.0000
0.5603 0.0603 0.5000
0.6915 0.6915 0.0000
0.9397 0.4397 0.5000
0.2128 0.2128 0.0000
0.7872 0.7872 0.0000
0.3873 0.3873 0.0000
0.6127 0.6127 0.0000
```

---

Entry 6:
Diffraction record for Np2Co5As3. The PXRD pattern is computed, not measured: it uses a PBE-relaxed structure and copper Kα.

Most intense lines, 5 to 70 degrees two-theta, most intense first:
2theta, d [Å], intensity
36.88, 2.437, 100.0
35.61, 2.521, 47.3
46.21, 1.964, 35.0
42.99, 2.104, 34.9
25.61, 3.478, 31.3
59.67, 1.550, 21.6

Cell and atoms:
```
Np2Co5As3
1.0
1.9645 -11.2106 0.0000
1.9645 11.2106 0.0000
0.0000 0.0000 6.8327
Np Co As
4 10 6
direct
0.0017 0.9983 0.5000
0.3324 0.6676 0.9838
0.6676 0.3324 0.4838
0.9983 0.0017 0.0000
0.1217 0.8783 0.8198
0.2043 0.7957 0.0920
0.2287 0.7713 0.7125
0.3721 0.6279 0.5372
0.4611 0.5389 0.7672
0.5389 0.4611 0.2672
0.6279 0.3721 0.0372
0.7713 0.2287 0.2125
0.7957 0.2043 0.5920
0.8783 0.1217 0.3198
0.1083 0.8917 0.2367
0.2728 0.7272 0.3990
0.4325 0.5675 0.2433
0.5675 0.4325 0.7433
0.7272 0.2728 0.8990
0.8917 0.1083 0.7367
```

---

Entry 7:
Diffraction record for Np2Co4AsP3. The PXRD pattern is computed, not measured: it uses a PBE-relaxed structure and copper Kα.

Most intense lines, 5 to 70 degrees two-theta, most intense first:
2theta, d [Å], intensity
37.68, 2.387, 100.0
37.40, 2.405, 74.7
24.47, 3.637, 67.2
45.69, 1.986, 46.1
60.47, 1.531, 37.1
31.87, 2.808, 27.9

Cell and atoms:
```
Np2Co4AsP3
1.0
3.9711 0.0000 0.0000
0.0000 3.9711 0.0000
0.0000 0.0000 9.0655
Np Co As P
2 4 1 3
direct
0.0000 0.5000 0.2469
0.5000 0.0000 0.7531
0.0000 0.0000 0.0000
0.0000 0.5000 0.6214
0.5000 0.0000 0.3786
0.5000 0.5000 0.0000
0.0000 0.0000 0.5000
0.0000 0.5000 0.8675
0.5000 0.0000 0.1325
0.5000 0.5000 0.5000
```